Theoretical powder X-ray diffraction pattern
Compound: K2La2Re3O10
Radiation: a wavelength of 1.5418 Å
Structure: a cell relaxed with PBE
Lines closer than 0.1° are merged.

Main lines, in order of rising 2θ (15 to 90 degrees two-theta):
- 2θ 22.62, 3.931 Å, intensity 12, (1 0 1)
- 2θ 31.01, 2.884 Å, intensity 100, (1 0 7)
- 2θ 31.91, 2.804 Å, intensity 51, (1 1 0)
- 2θ 43.06, 2.101 Å, intensity 14, (0 0 14)
- 2θ 45.75, 1.983 Å, intensity 28, (2 0 0)
- 2θ 54.58, 1.681 Å, intensity 22, (1 1 14)
- 2θ 56.30, 1.634 Å, intensity 38, (2 1 7)
- 2θ 64.63, 1.442 Å, intensity 16, (2 0 14)

Structural model:
```
data_K2La2Re3O10
_chemical_formula_sum 'K4 La4 Re6 O20'
_cell_length_a 3.966
_cell_length_b 3.966
_cell_length_c 29.412
_cell_angle_alpha 90.00
_cell_angle_beta 90.00
_cell_angle_gamma 90.00
_space_group_name_H-M_alt 'I 4/m m m'
_space_group_IT_number 139
_space_group_name_Hall '-I 4 2'
loop_
_atom_site_label
_atom_site_type_symbol
_atom_site_fract_x
_atom_site_fract_y
_atom_site_fract_z
K1 K 0.000 0.000 0.209
La1 La 0.000 0.000 0.072
Re1 Re 0.000 0.000 0.362
Re2 Re 0.000 0.000 0.500
O1 O 0.000 0.000 0.298
O2 O 0.000 0.000 0.432
O3 O 0.000 0.500 0.000
O4 O 0.000 0.500 0.128
```